For Ni7Sn8, a DFT-relaxed cell (PBE, Alexandria) gives the calculated powder diffraction line list in this record (Cu Kα X-rays).
Kinematic intensities with the Lorentz-polarization factor, no thermal factor.

Structure:
```
data_Ni7Sn8
_chemical_formula_sum 'Ni7 Sn8'
_cell_length_a 5.250
_cell_length_b 4.095
_cell_length_c 12.504
_cell_angle_alpha 90.00
_cell_angle_beta 100.86
_cell_angle_gamma 90.00
_space_group_name_H-M_alt 'P 1 2/m 1'
_space_group_IT_number 10
loop_
_space_group_symop_operation_xyz
'x,y,z'
'-x,-y,-z'
'-x,y,-z'
'x,-y,z'
loop_
_atom_site_label
_atom_site_type_symbol
_atom_site_fract_x
_atom_site_fract_y
_atom_site_fract_z
Ni1 Ni 0.000 0.000 0.000
Ni2 Ni 0.000 0.500 0.500
Ni3 Ni 0.124 0.000 0.793
Ni4 Ni 0.373 0.500 0.720
Ni5 Ni 0.500 0.500 0.500
Sn1 Sn 0.148 0.500 0.316
Sn2 Sn 0.237 0.500 0.931
Sn3 Sn 0.279 0.000 0.581
Sn4 Sn 0.361 0.000 0.167
```

Top 12 peaks for 2θ from 5° to 70°, sorted by position:
d_spacing  2θ/deg  I_rel
2.990  29.9  828
2.947  30.3  388
2.895  30.9  501
2.715  33.0  490
2.555  35.1  236
2.399  37.5  277
2.360  38.1  287
2.188  41.3  326
2.106  42.9  893
2.091  43.3  1000
2.068  43.8  575
2.047  44.2  695

For Na2DyC2O6, a DFT-relaxed cell (PBE, Alexandria) gives the calculated powder diffraction line list in this record (Cu Kα X-rays).
Kinematic intensities with the Lorentz-polarization factor, no thermal factor.

Structure:
```
data_Na2DyC2O6
_chemical_formula_sum 'Na2 Dy1 C2 O6'
_cell_length_a 5.1704
_cell_length_b 5.1704
_cell_length_c 7.6850
_cell_angle_alpha 90.00
_cell_angle_beta 90.00
_cell_angle_gamma 120.00
_space_group_name_H-M_alt 'P -3'
_space_group_IT_number 147
loop_
_space_group_symop_operation_xyz
'x,y,z'
'-x,-y,-z'
'-y,x-y,z'
'y,-x+y,-z'
'-x+y,-x,z'
'x-y,x,-z'
loop_
_atom_site_label
_atom_site_type_symbol
_atom_site_fract_x
_atom_site_fract_y
_atom_site_fract_z
Na1 Na 0.3333 0.6667 0.3314
Dy1 Dy 0.0000 0.0000 0.0000
C1 C 0.3333 0.6667 0.8354
O1 O 0.0999 0.4013 0.8323
```

Top 12 peaks for 2θ from 5° to 70°, sorted by position:
d_spacing  2θ/deg  I_rel
7.685  11.5  1000
4.478  19.8  256
3.869  23.0  766
2.916  30.7  587
2.585  34.7  203
2.450  36.7  179
2.224  40.6  165
2.148  42.1  324
1.934  47.0  145
1.820  50.1  176
1.653  55.6  184
1.549  59.7  127

For LaF, a DFT-relaxed cell (PBE, Alexandria) gives the calculated powder diffraction line list in this record (Cu Kα X-rays).
Kinematic intensities with the Lorentz-polarization factor, no thermal factor.

Structure:
```
data_LaF
_chemical_formula_sum 'La8 F8'
_cell_length_a 7.048
_cell_length_b 7.048
_cell_length_c 8.038
_cell_angle_alpha 90.00
_cell_angle_beta 90.00
_cell_angle_gamma 90.00
_space_group_name_H-M_alt 'I -4 2 d'
_space_group_IT_number 122
_space_group_name_Hall 'I -4 2bw'
loop_
_atom_site_label
_atom_site_type_symbol
_atom_site_fract_x
_atom_site_fract_y
_atom_site_fract_z
La1 La 0.207 0.750 0.125
F1 F 0.055 0.250 0.625
```

Top 12 peaks for 2θ from 5° to 70°, sorted by position:
d_spacing  2θ/deg  I_rel
3.524  25.3  732
3.128  28.5  1000
2.934  30.5  200
2.492  36.0  179
2.009  45.1  111
1.949  46.6  461
1.899  47.9  144
1.746  52.4  196
1.579  58.4  78
1.564  59.1  89
1.535  60.3  90
1.388  67.5  88

For LaVN3, a DFT-relaxed cell (PBE, Alexandria) gives the calculated powder diffraction line list in this record (Cu Kα X-rays).
Kinematic intensities with the Lorentz-polarization factor, no thermal factor.

Structure:
```
data_LaVN3
_chemical_formula_sum 'La4 V4 N12'
_cell_length_a 3.760
_cell_length_b 13.881
_cell_length_c 5.212
_cell_angle_alpha 90.00
_cell_angle_beta 92.70
_cell_angle_gamma 90.00
_space_group_name_H-M_alt 'C 1 c 1'
_space_group_IT_number 9
loop_
_space_group_symop_operation_xyz
'x,y,z'
'x,-y,z+1/2'
'x+1/2,y+1/2,z'
'x+1/2,-y+1/2,z+1/2'
loop_
_atom_site_label
_atom_site_type_symbol
_atom_site_fract_x
_atom_site_fract_y
_atom_site_fract_z
La1 La 0.000 0.165 0.000
V1 V 0.448 0.067 0.545
N1 N 0.129 0.197 0.499
N2 N 0.433 0.387 0.993
N3 N 0.479 0.054 0.894
```

Top 12 peaks for 2θ from 5° to 70°, sorted by position:
d_spacing  2θ/deg  I_rel
4.165  21.3  256
3.470  25.7  135
3.041  29.4  331
2.915  30.7  1000
2.888  31.0  464
2.603  34.5  367
1.978  45.9  194
1.908  47.7  179
1.878  48.5  121
1.673  54.9  94
1.593  57.9  129
1.557  59.4  132

For CeNd3Rh, a DFT-relaxed cell (PBE, Alexandria) gives the calculated powder diffraction line list in this record (Cu Kα X-rays).
Kinematic intensities with the Lorentz-polarization factor, no thermal factor.

Structure:
```
data_CeNd3Rh
_chemical_formula_sum 'Ce4 Nd12 Rh4'
_cell_length_a 10.222
_cell_length_b 5.992
_cell_length_c 10.848
_cell_angle_alpha 90.00
_cell_angle_beta 118.80
_cell_angle_gamma 90.00
_space_group_name_H-M_alt 'P 1 21/c 1'
_space_group_IT_number 14
loop_
_space_group_symop_operation_xyz
'x,y,z'
'-x,-y,-z'
'-x,y+1/2,-z+1/2'
'x,-y+1/2,z+1/2'
loop_
_atom_site_label
_atom_site_type_symbol
_atom_site_fract_x
_atom_site_fract_y
_atom_site_fract_z
Ce1 Ce 0.144 0.002 0.118
Nd1 Nd 0.124 0.531 0.277
Nd2 Nd 0.248 0.032 0.494
Nd3 Nd 0.491 0.130 0.854
Rh1 Rh 0.409 0.638 0.853
```

Top 12 peaks for 2θ from 5° to 70°, sorted by position:
d_spacing  2θ/deg  I_rel
3.023  29.5  731
2.996  29.8  1000
2.986  29.9  479
2.922  30.6  262
2.843  31.5  668
2.801  32.0  637
2.694  33.3  751
2.678  33.5  490
2.554  35.1  446
2.398  37.5  285
2.276  39.6  341
1.735  52.8  319

For TlHgPt2, a DFT-relaxed cell (PBE, Alexandria) gives the calculated powder diffraction line list in this record (Cu Kα X-rays).
Kinematic intensities with the Lorentz-polarization factor, no thermal factor.

Structure:
```
data_TlHgPt2
_chemical_formula_sum 'Tl2 Hg2 Pt4'
_cell_length_a 3.982
_cell_length_b 4.004
_cell_length_c 9.635
_cell_angle_alpha 90.00
_cell_angle_beta 90.00
_cell_angle_gamma 90.00
_space_group_name_H-M_alt 'I m m 2'
_space_group_IT_number 44
loop_
_space_group_symop_operation_xyz
'x,y,z'
'-x,-y,z'
'-x,y,z'
'x,-y,z'
'x+1/2,y+1/2,z+1/2'
'-x+1/2,-y+1/2,z+1/2'
'-x+1/2,y+1/2,z+1/2'
'x+1/2,-y+1/2,z+1/2'
loop_
_atom_site_label
_atom_site_type_symbol
_atom_site_fract_x
_atom_site_fract_y
_atom_site_fract_z
Tl1 Tl 0.000 0.000 0.000
Hg1 Hg 0.000 0.500 0.751
Pt1 Pt 0.000 0.000 0.523
Pt2 Pt 0.000 0.500 0.272
```

Top 12 peaks for 2θ from 5° to 70°, sorted by position:
d_spacing  2θ/deg  I_rel
2.503  35.9  23
2.436  36.9  1000
2.409  37.3  229
2.002  45.3  144
1.991  45.6  142
1.736  52.7  21
1.563  59.1  5
1.559  59.3  6
1.540  60.1  117
1.535  60.3  116
1.412  66.2  95
1.396  67.0  154

For Tm2Si2SnRh5, a DFT-relaxed cell (PBE, Alexandria) gives the calculated powder diffraction line list in this record (Cu Kα X-rays).
Kinematic intensities with the Lorentz-polarization factor, no thermal factor.

Structure:
```
data_Tm2Si2SnRh5
_chemical_formula_sum 'Tm4 Si4 Sn2 Rh10'
_cell_length_a 9.692
_cell_length_b 9.692
_cell_length_c 3.551
_cell_angle_alpha 90.00
_cell_angle_beta 90.00
_cell_angle_gamma 90.00
_space_group_name_H-M_alt 'P 4/m b m'
_space_group_IT_number 127
_space_group_name_Hall '-P 4 2ab'
loop_
_atom_site_label
_atom_site_type_symbol
_atom_site_fract_x
_atom_site_fract_y
_atom_site_fract_z
Tm1 Tm 0.176 0.324 0.000
Si1 Si 0.122 0.622 0.000
Sn1 Sn 0.000 0.000 0.000
Rh1 Rh 0.000 0.500 0.500
Rh2 Rh 0.070 0.784 0.500
```

Top 12 peaks for 2θ from 5° to 70°, sorted by position:
d_spacing  2θ/deg  I_rel
2.747  32.6  656
2.466  36.4  335
2.351  38.3  635
2.320  38.8  1000
2.284  39.4  146
2.167  41.7  268
2.143  42.2  282
1.776  51.5  234
1.470  63.2  154
1.417  65.9  255
1.392  67.2  158
1.373  68.3  124

For Y12Ho5Mg2, a DFT-relaxed cell (PBE, Alexandria) gives the calculated powder diffraction line list in this record (Cu Kα X-rays).
Kinematic intensities with the Lorentz-polarization factor, no thermal factor.

Structure:
```
data_Y12Ho5Mg2
_chemical_formula_sum 'Y24 Ho10 Mg4'
_cell_length_a 15.605
_cell_length_b 9.233
_cell_length_c 8.372
_cell_angle_alpha 90.00
_cell_angle_beta 90.74
_cell_angle_gamma 90.00
_space_group_name_H-M_alt 'C 1 2/m 1'
_space_group_IT_number 12
loop_
_space_group_symop_operation_xyz
'x,y,z'
'-x,-y,-z'
'-x,y,-z'
'x,-y,z'
'x+1/2,y+1/2,z'
'-x+1/2,-y+1/2,-z'
'-x+1/2,y+1/2,-z'
'x+1/2,-y+1/2,z'
loop_
_atom_site_label
_atom_site_type_symbol
_atom_site_fract_x
_atom_site_fract_y
_atom_site_fract_z
Y1 Y 0.057 0.000 0.331
Y2 Y 0.084 0.500 0.884
Y3 Y 0.126 0.194 0.669
Y4 Y 0.151 0.317 0.240
Ho1 Ho 0.000 0.500 0.500
Ho2 Ho 0.201 0.000 0.014
Ho3 Ho 0.234 0.500 0.577
Mg1 Mg 0.000 0.170 0.000
```

Top 12 peaks for 2θ from 5° to 70°, sorted by position:
d_spacing  2θ/deg  I_rel
4.616  19.2  251
3.101  28.8  445
3.058  29.2  306
2.980  30.0  389
2.891  30.9  314
2.839  31.5  875
2.798  32.0  1000
2.638  34.0  562
2.520  35.6  175
1.637  56.2  170
1.563  59.1  220
1.533  60.4  159

For Na4Bi2C4SO16, a DFT-relaxed cell (PBE, Alexandria) gives the calculated powder diffraction line list in this record (Cu Kα X-rays).
Kinematic intensities with the Lorentz-polarization factor, no thermal factor.

Structure:
```
data_Na4Bi2C4SO16
_chemical_formula_sum 'Na32 Bi16 C32 S8 O128'
_cell_length_a 14.166
_cell_length_b 14.520
_cell_length_c 15.617
_cell_angle_alpha 90.00
_cell_angle_beta 90.00
_cell_angle_gamma 90.00
_space_group_name_H-M_alt 'F d d d'
_space_group_IT_number 70
loop_
_space_group_symop_operation_xyz
'x,y,z'
'-x,-y,-z'
'-x+1/4,-y+1/4,z'
'x+1/4,y+1/4,-z'
'x,-y+1/4,-z+1/4'
'-x,y+1/4,z+1/4'
'-x+1/4,y,-z+1/4'
'x+1/4,-y,z+1/4'
'x,y+1/2,z+1/2'
'-x,-y+1/2,-z+1/2'
'-x+1/4,-y+3/4,z+1/2'
'x+1/4,y+3/4,-z+1/2'
'x,-y+3/4,-z+3/4'
'-x,y+3/4,z+3/4'
'-x+1/4,y+1/2,-z+3/4'
'x+1/4,-y+1/2,z+3/4'
'x+1/2,y,z+1/2'
'-x+1/2,-y,-z+1/2'
'-x+3/4,-y+1/4,z+1/2'
'x+3/4,y+1/4,-z+1/2'
'x+1/2,-y+1/4,-z+3/4'
'-x+1/2,y+1/4,z+3/4'
'-x+3/4,y,-z+3/4'
'x+3/4,-y,z+3/4'
'x+1/2,y+1/2,z'
'-x+1/2,-y+1/2,-z'
'-x+3/4,-y+3/4,z'
'x+3/4,y+3/4,-z'
'x+1/2,-y+3/4,-z+1/4'
'-x+1/2,y+3/4,z+1/4'
'-x+3/4,y+1/2,-z+1/4'
'x+3/4,-y+1/2,z+1/4'
loop_
_atom_site_label
_atom_site_type_symbol
_atom_site_fract_x
_atom_site_fract_y
_atom_site_fract_z
Na1 Na 0.077 0.375 0.375
Na2 Na 0.125 0.325 0.125
Bi1 Bi 0.000 0.000 0.500
C1 C 0.023 0.026 0.712
S1 S 0.125 0.125 0.125
O1 O 0.015 0.088 0.772
O2 O 0.034 0.277 0.897
O3 O 0.063 0.064 0.071
O4 O 0.089 0.286 0.532
```

Top 12 peaks for 2θ from 5° to 70°, sorted by position:
d_spacing  2θ/deg  I_rel
8.504  10.4  1000
4.631  19.2  534
4.395  20.2  381
4.316  20.6  396
4.252  20.9  665
2.985  29.9  248
2.799  32.0  225
2.738  32.7  209
2.658  33.7  235
2.623  34.2  268
2.316  38.9  216
2.197  41.1  212

For NaPr8Se12, a DFT-relaxed cell (PBE, Alexandria) gives the calculated powder diffraction line list in this record (Cu Kα X-rays).
Kinematic intensities with the Lorentz-polarization factor, no thermal factor.

Structure:
```
data_NaPr8Se12
_chemical_formula_sum 'Na4 Pr32 Se48'
_cell_length_a 9.001
_cell_length_b 9.001
_cell_length_c 27.127
_cell_angle_alpha 90.00
_cell_angle_beta 90.00
_cell_angle_gamma 90.00
_space_group_name_H-M_alt 'I -4 2 d'
_space_group_IT_number 122
_space_group_name_Hall 'I -4 2bw'
loop_
_atom_site_label
_atom_site_type_symbol
_atom_site_fract_x
_atom_site_fract_y
_atom_site_fract_z
Na1 Na 0.000 0.000 0.000
Pr1 Pr 0.000 0.000 0.333
Pr2 Pr 0.119 0.750 0.125
Pr3 Pr 0.128 0.746 0.460
Se1 Se 0.074 0.675 0.683
Se2 Se 0.074 0.679 0.353
Se3 Se 0.078 0.675 0.016
```

Top 12 peaks for 2θ from 5° to 70°, sorted by position:
d_spacing  2θ/deg  I_rel
3.681  24.2  307
2.858  31.3  465
2.847  31.4  1000
2.411  37.3  643
2.407  37.4  335
2.014  45.0  224
1.922  47.3  218
1.839  49.6  118
1.770  51.6  99
1.767  51.7  162
1.461  63.7  291
1.392  67.3  141